Structure and theoretical powder diffraction line list of Al2Cu3O6 (the PBE geometry in the Materials Project; copper Kα).
Lines closer than 0.1° are merged.

Top 10 peaks for 2θ = 10–90°, by angle:
2θ (°)  Rel. int.
15.63  47
31.56  28
36.02  54
36.82  100
38.64  15
39.40  33
54.64  22
61.51  16
63.52  19
69.09  14

Structure:
```
Al2Cu3O6
1.0
2.865 0.000 0.000
0.000 11.340 0.000
-1.422 0.000 7.669
Al Cu O
4 6 12
direct
0.000 0.000 0.008 Al
0.000 0.500 0.992 Al
0.329 0.993 0.661 Al
0.671 0.493 0.339 Al
0.104 0.742 0.212 Cu
0.219 0.246 0.441 Cu
0.452 0.751 0.902 Cu
0.548 0.251 0.098 Cu
0.781 0.746 0.559 Cu
0.896 0.242 0.788 Cu
0.095 0.895 0.197 O
0.116 0.581 0.227 O
0.212 0.402 0.417 O
0.236 0.095 0.471 O
0.442 0.912 0.891 O
0.463 0.592 0.916 O
0.537 0.092 0.084 O
0.558 0.412 0.109 O
0.764 0.595 0.529 O
0.788 0.902 0.583 O
0.884 0.081 0.773 O
0.905 0.395 0.803 O
```